Structure and computed X-ray diffraction stick pattern of AcCe2S4 (a crystal structure in Alexandria, relaxed with GGA-PBE; CuKα).

Structural model:
```
AcCe2S4
1.0
2.034 -6.774 0.000
2.034 6.774 0.000
0.000 0.000 13.564
Ac Ce S
2 4 8
Cartesian
2.034 5.160 10.173
2.034 -5.160 3.391
2.034 1.778 7.666
2.034 1.778 12.681
2.034 -1.778 0.883
2.034 -1.778 5.899
0.000 0.000 0.000
0.000 0.000 6.782
2.034 3.094 1.641
2.034 3.094 5.141
2.034 0.538 10.173
2.034 -0.538 3.391
2.034 -3.094 8.424
2.034 -3.094 11.923
```

Principal peaks in the range 2θ from 10° to 90°, sorted by position:
23.7 deg, d 3.761, intensity 100.0; 26.4 deg, d 3.378, intensity 37.3; 30.3 deg, d 2.950, intensity 50.0; 32.4 deg, d 2.761, intensity 53.5; 40.5 deg, d 2.226, intensity 48.2; 44.9 deg, d 2.019, intensity 48.6